SmCu2O4: simulated PXRD pattern (Cu Kα (λ = 1.5418 Å)), based on a cell relaxed with GGA-PBE.
Peak positions follow from Bragg's law for the DFT cell and can differ from measured ones.

Crystal structure
a b c (Å): 6.3520 6.3520 6.3520
angles (deg): 125.80 125.80 80.22
Positions (direct):
Sm (0.3750, 0.1250, 0.2500)
Sm (0.6250, 0.8750, 0.7500)
Cu (0.0000, 0.0000, 0.5000)
Cu (0.0000, 0.5000, 0.0000)
Cu (0.0000, 0.5000, 0.5000)
Cu (0.5000, 0.5000, 0.0000)
O (0.0305, 0.1405, 0.3185)
O (0.2119, 0.5305, 0.3900)
O (0.3220, 0.7119, 0.1815)
O (0.3595, 0.1780, 0.8900)
O (0.6405, 0.8220, 0.1100)
O (0.6780, 0.2881, 0.8185)
O (0.7881, 0.4695, 0.6100)
O (0.9695, 0.8595, 0.6815)

Main lines, by angle (5 to 70 degrees two-theta):
| two_theta | I/Imax |
| --- | --- |
| 28.52 | 543 |
| 30.90 | 131 |
| 31.66 | 484 |
| 35.91 | 1000 |
| 36.13 | 230 |
| 48.96 | 120 |
| 49.48 | 215 |
| 53.50 | 253 |
| 55.44 | 170 |
| 58.26 | 202 |
| 59.03 | 284 |
| 64.39 | 101 |

***

Sm2CuTe2O2: simulated PXRD pattern (Cu Kα (λ = 1.5418 Å)), based on a cell relaxed with GGA-PBE.
Peak positions follow from Bragg's law for the DFT cell and can differ from measured ones.

Crystal structure
a b c (Å): 3.9523 3.9523 12.3685
angles (deg): 90.00 90.00 120.00
Positions (direct):
Sm (0.3333, 0.6667, 0.1197)
Sm (0.6667, 0.3333, 0.8803)
Cu (0.0000, 0.0000, 0.5000)
Te (0.0000, 0.0000, 0.3047)
Te (0.0000, 0.0000, 0.6953)
O (0.3333, 0.6667, 0.9273)
O (0.6667, 0.3333, 0.0727)

Main lines, by angle (5 to 70 degrees two-theta):
| two_theta | I/Imax |
| --- | --- |
| 7.15 | 301 |
| 26.03 | 120 |
| 27.03 | 1000 |
| 29.83 | 560 |
| 34.04 | 443 |
| 36.32 | 247 |
| 39.27 | 259 |
| 45.23 | 146 |
| 45.92 | 473 |
| 51.77 | 207 |
| 54.10 | 142 |
| 59.91 | 337 |

***

Sm2Ti12Cu9O36: simulated PXRD pattern (Cu Kα (λ = 1.5418 Å)), based on a cell relaxed with GGA-PBE.
Peak positions follow from Bragg's law for the DFT cell and can differ from measured ones.

Crystal structure
a b c (Å): 10.5340 10.5340 6.4709
angles (deg): 90.00 90.00 120.00
Positions (direct):
Sm (0.3333, 0.6667, 0.1708)
Sm (0.6667, 0.3333, 0.8292)
Ti (0.0000, 0.0000, 0.0000)
Ti (0.0000, 0.5000, 0.0000)
Ti (0.1569, 0.8391, 0.3377)
Ti (0.1609, 0.3179, 0.3377)
Ti (0.3179, 0.1569, 0.6623)
Ti (0.3333, 0.6667, 0.6593)
Ti (0.5000, 0.0000, 0.0000)
Ti (0.5000, 0.5000, 0.0000)
Ti (0.6667, 0.3333, 0.3407)
Ti (0.6821, 0.8431, 0.3377)
Ti (0.8391, 0.6821, 0.6623)
Ti (0.8431, 0.1609, 0.6623)
Cu (0.0000, 0.5000, 0.5000)
Cu (0.1685, 0.3369, 0.8391)
Cu (0.1684, 0.8315, 0.8391)
Cu (0.3369, 0.1684, 0.1609)
Cu (0.5000, 0.0000, 0.5000)
Cu (0.5000, 0.5000, 0.5000)
Cu (0.6631, 0.8316, 0.8391)
Cu (0.8316, 0.1685, 0.1609)
Cu (0.8315, 0.6631, 0.1609)
O (0.0163, 0.8519, 0.1698)
O (0.0444, 0.7756, 0.5892)
O (0.0741, 0.6254, 0.2500)
O (0.1169, 0.4098, 0.0879)
O (0.1481, 0.1645, 0.1698)
O (0.1645, 0.0163, 0.8302)
O (0.1758, 0.6491, 0.8535)
O (0.1923, 0.5086, 0.4856)
O (0.2244, 0.2688, 0.5892)
O (0.2688, 0.0444, 0.4108)
O (0.2928, 0.8831, 0.0879)
O (0.3163, 0.8077, 0.4856)
O (0.3509, 0.5267, 0.8535)
O (0.3746, 0.4487, 0.2500)
O (0.4098, 0.2928, 0.9121)
O (0.4487, 0.0741, 0.7500)
O (0.4733, 0.8242, 0.8535)
O (0.4914, 0.6837, 0.4856)
O (0.5086, 0.3163, 0.5144)
O (0.5267, 0.1758, 0.1465)
O (0.5513, 0.9259, 0.2500)
O (0.5902, 0.7072, 0.0879)
O (0.6254, 0.5513, 0.7500)
O (0.6491, 0.4733, 0.1465)
O (0.6837, 0.1923, 0.5144)
O (0.7072, 0.1169, 0.9121)
O (0.7312, 0.9556, 0.5892)
O (0.7756, 0.7312, 0.4108)
O (0.8077, 0.4914, 0.5144)
O (0.8242, 0.3509, 0.1465)
O (0.8355, 0.9837, 0.1698)
O (0.8519, 0.8355, 0.8302)
O (0.8831, 0.5902, 0.9121)
O (0.9259, 0.3746, 0.7500)
O (0.9556, 0.2244, 0.4108)
O (0.9837, 0.1481, 0.8302)

Main lines, by angle (5 to 70 degrees two-theta):
| two_theta | I/Imax |
| --- | --- |
| 9.70 | 114 |
| 16.80 | 59 |
| 21.76 | 36 |
| 23.87 | 65 |
| 29.34 | 42 |
| 34.01 | 1000 |
| 38.17 | 84 |
| 42.00 | 71 |
| 45.48 | 36 |
| 48.86 | 277 |
| 60.75 | 122 |
| 60.90 | 361 |

***

Sm2TiCuO6: simulated PXRD pattern (Cu Kα (λ = 1.5418 Å)), based on a cell relaxed with GGA-PBE.
Peak positions follow from Bragg's law for the DFT cell and can differ from measured ones.

Crystal structure
a b c (Å): 5.4362 5.8794 9.2558
angles (deg): 90.00 125.44 90.00
Positions (direct):
Sm (0.2328, 0.0755, 0.2497)
Sm (0.2328, 0.4245, 0.7497)
Sm (0.7672, 0.5755, 0.2503)
Sm (0.7672, 0.9245, 0.7503)
Ti (0.5000, 0.0000, 0.0000)
Ti (0.5000, 0.5000, 0.5000)
Cu (0.0000, 0.0000, 0.5000)
Cu (0.0000, 0.5000, 0.0000)
O (0.1540, 0.1728, 0.9492)
O (0.1540, 0.3272, 0.4492)
O (0.2689, 0.7075, 0.9462)
O (0.2689, 0.7925, 0.4462)
O (0.3522, 0.0349, 0.7483)
O (0.3522, 0.4651, 0.2483)
O (0.6478, 0.5349, 0.7517)
O (0.6478, 0.9651, 0.2517)
O (0.7311, 0.2075, 0.5538)
O (0.7311, 0.2925, 0.0538)
O (0.8460, 0.6728, 0.5508)
O (0.8460, 0.8272, 0.0508)

Main lines, by angle (5 to 70 degrees two-theta):
| two_theta | I/Imax |
| --- | --- |
| 22.27 | 247 |
| 23.60 | 171 |
| 25.17 | 206 |
| 25.32 | 206 |
| 30.41 | 268 |
| 32.56 | 706 |
| 32.76 | 1000 |
| 32.96 | 393 |
| 45.45 | 245 |
| 48.27 | 207 |
| 50.99 | 328 |
| 58.89 | 209 |